This entry pairs a crystal structure of BeZnGePt with its computed X-ray diffraction stick pattern. Radiation: copper Kα. Structure: a GGA-PBE-relaxed structure.
Lines closer than 0.1° are merged.

Top 9 peaks for 10° ≤ 2θ ≤ 80°, low angle first:
| two_theta | I_rel | h k l |
| --- | --- | --- |
| 25.21 | 37 | 1 1 1 |
| 29.20 | 39 | 2 0 0 |
| 41.76 | 100 | 2 2 0 |
| 49.41 | 19 | 3 1 1 |
| 51.77 | 11 | 2 2 2 |
| 60.54 | 17 | 4 0 0 |
| 66.64 | 8 | 3 3 1 |
| 68.60 | 15 | 4 2 0 |
| 76.25 | 34 | 4 2 2 |

Cell and atoms:
a = 6.118 Å, b = 6.118 Å, c = 6.118 Å
α = 90.00°, β = 90.00°, γ = 90.00°
Space group F-43m (No. 216)
Symmetry-distinct sites (fractional):
Be: 0.000 0.000 0.000 [4 per cell]
Zn: 0.000 0.000 0.500 [4 per cell]
Ge: 0.250 0.250 0.750 [4 per cell]
Pt: 0.250 0.250 0.250 [4 per cell]



This entry pairs a crystal structure of CdAg2As2 with its computed X-ray diffraction stick pattern. Radiation: copper Kα. Structure: a GGA-PBE-relaxed structure.
Lines closer than 0.1° are merged.

Top 10 peaks for 10° ≤ 2θ ≤ 80°, low angle first:
| two_theta | I_rel | h k l |
| --- | --- | --- |
| 28.00 | 48 | 1 3 0 |
| 30.96 | 100 | 1 3 1 |
| 32.49 | 25 | 0 6 0 |
| 35.28 | 66 | 1 1 2 |
| 35.58 | 40 | 1 5 0 |
| 41.02 | 51 | 0 2 3 |
| 44.61 | 88 | 1 5 2 |
| 46.51 | 43 | 2 0 0 |
| 46.87 | 22 | 1 7 1 |
| 63.72 | 26 | 2 2 3 |

Cell and atoms:
a = 3.905 Å, b = 16.533 Å, c = 6.848 Å
α = 90.00°, β = 90.00°, γ = 90.00°
Space group Cmc2_1 (No. 36)
Symmetry-distinct sites (fractional):
Cd: 0.000 0.086 0.000 [4 per cell]
Ag: 0.000 0.309 0.829 [4 per cell]
Ag: 0.000 0.407 0.173 [4 per cell]
As: 0.000 0.074 0.401 [4 per cell]
As: 0.000 0.291 0.443 [4 per cell]



This entry pairs a crystal structure of Y2AgAuO4 with its computed X-ray diffraction stick pattern. Radiation: copper Kα. Structure: a GGA-PBE-relaxed structure.
Lines closer than 0.1° are merged.

Top 10 peaks for 10° ≤ 2θ ≤ 80°, low angle first:
| two_theta | I_rel | h k l |
| --- | --- | --- |
| 28.93 | 43 | 0 0 4 |
| 30.17 | 100 | 1 0 1 |
| 32.74 | 96 | 1 0 2 |
| 36.67 | 31 | 1 0 3 |
| 47.37 | 28 | 1 0 5 |
| 51.90 | 36 | 1 1 0 |
| 53.74 | 30 | 1 0 6 |
| 60.52 | 32 | 1 1 4 |
| 60.66 | 14 | 1 0 7 |
| 62.73 | 15 | 2 0 2 |

Cell and atoms:
a = 3.5233 Å, b = 3.5233 Å, c = 12.3435 Å
α = 90.00°, β = 90.00°, γ = 120.00°
Space group P-6m2 (No. 187)
Symmetry-distinct sites (fractional):
Y: 0.0000 0.0000 0.2477 [2 per cell]
Ag: 0.3333 0.6667 0.5000 [1 per cell]
Au: 0.6667 0.3333 0.0000 [1 per cell]
O: 0.3333 0.6667 0.3323 [2 per cell]
O: 0.6667 0.3333 0.1653 [2 per cell]